# 1
Diffraction record for Dy2Si3Rh5. The PXRD pattern is calculated, not measured: it uses a PBE-relaxed structure and a wavelength of 1.5418 Å.
Lines closer than 0.1° are merged.

Largest 10 diffraction maxima, sorted by position, 2θ from 15° to 90°:
hkl 0 6 2, 35.23°, rel. 20
hkl 1 7 1, 36.81°, rel. 66
hkl 1 3 2, 36.95°, rel. 100
hkl 0 10 1, 39.69°, rel. 31
hkl 1 9 0, 40.25°, rel. 32
hkl 0 4 3, 43.97°, rel. 24
hkl 2 0 0, 44.75°, rel. 38
hkl 2 10 1, 61.33°, rel. 17
hkl 1 13 3, 70.32°, rel. 27
hkl 3 3 2, 77.27°, rel. 23

Crystal structure
Unit cell a=4.051 b=24.204 c=6.570 alpha=90.00 beta=90.00 gamma=90.00
Space group Cmc2_1 (No. 36)
One atom of each set of equivalent atoms:
Dy  0.000  0.020  0.000 x4
Dy  0.000  0.324  0.009 x4
Si  0.000  0.111  0.743 x4
Si  0.000  0.271  0.521 x4
Si  0.000  0.450  0.792 x4
Rh  0.000  0.099  0.352 x4
Rh  0.000  0.207  0.814 x4
Rh  0.000  0.210  0.228 x4
Rh  0.000  0.370  0.527 x4
Rh  0.000  0.442  0.160 x4

# 2
Diffraction record for Dy4SiRh3. The PXRD pattern is calculated, not measured: it uses a PBE-relaxed structure and a wavelength of 1.5418 Å.
Lines closer than 0.1° are merged.

Largest 10 diffraction maxima, sorted by position, 2θ from 15° to 90°:
hkl 0 1 2, 27.23°, rel. 20
hkl 1 1 1, 32.58°, rel. 100
hkl 0 0 4, 33.77°, rel. 27
hkl 1 0 3, 34.21°, rel. 35
hkl 0 1 4, 40.31°, rel. 20
hkl 1 1 3, 40.69°, rel. 48
hkl 0 2 0, 43.50°, rel. 24
hkl 2 0 0, 46.57°, rel. 20
hkl 1 2 3, 56.49°, rel. 24
hkl 2 2 0, 65.62°, rel. 14

Crystal structure
Unit cell a=3.900 b=4.161 c=10.616 alpha=90.00 beta=90.00 gamma=90.00
Space group Pmm2 (No. 25)
One atom of each set of equivalent atoms:
Dy  0.000  0.000  0.000 x1
Dy  0.000  0.500  0.278 x1
Dy  0.500  0.000  0.492 x1
Dy  0.500  0.500  0.782 x1
Si  0.000  0.000  0.707 x1
Rh  0.000  0.500  0.570 x1
Rh  0.500  0.000  0.224 x1
Rh  0.500  0.500  0.049 x1

# 3
Diffraction record for Dy3Si2Rh6. The PXRD pattern is calculated, not measured: it uses a PBE-relaxed structure and a wavelength of 1.5418 Å.
Lines closer than 0.1° are merged.

Largest 10 diffraction maxima, sorted by position, 2θ from 15° to 90°:
hkl 2 2 0, 27.19°, rel. 20
hkl 3 1 0, 30.47°, rel. 36
hkl 3 2 1, 36.23°, rel. 29
hkl 4 0 0, 38.83°, rel. 27
hkl 3 3 0, 41.29°, rel. 100
hkl 4 3 3, 57.97°, rel. 18
hkl 6 0 0, 59.82°, rel. 11
hkl 5 3 2, 61.63°, rel. 18
hkl 6 3 3, 75.28°, rel. 18
hkl 7 3 0, 78.53°, rel. 19

Crystal structure
Unit cell a=9.277 b=9.277 c=9.277 alpha=90.00 beta=90.00 gamma=90.00
Space group Im-3m (No. 229)
One atom of each set of equivalent atoms:
Dy  0.000  0.000  0.294 x12
Si  0.250  0.250  0.250 x8
Rh  0.000  0.313  0.313 x24

# 4
Diffraction record for DySi3Rh9. The PXRD pattern is calculated, not measured: it uses a PBE-relaxed structure and a wavelength of 1.5418 Å.
Lines closer than 0.1° are merged.

Largest 10 diffraction maxima, sorted by position, 2θ from 15° to 90°:
hkl 0 2 2, 33.21°, rel. 29
hkl 1 3 1, 34.68°, rel. 35
hkl 2 0 -1, 35.57°, rel. 65
hkl 1 3 -2, 36.70°, rel. 52
hkl 1 5 0, 40.05°, rel. 100
hkl 1 5 -1, 40.66°, rel. 33
hkl 1 1 2, 41.08°, rel. 49
hkl 0 4 2, 41.51°, rel. 87
hkl 2 2 -2, 42.54°, rel. 50
hkl 2 0 1, 45.02°, rel. 31

Crystal structure
Unit cell a=5.067 b=12.744 c=6.287 alpha=90.00 beta=108.69 gamma=90.00
Space group C2/m (No. 12)
One atom of each set of equivalent atoms:
Dy  0.000  0.000  0.000 x2
Si  0.000  0.500  0.500 x2
Si  0.250  0.250  0.000 x4
Rh  0.000  0.000  0.500 x2
Rh  0.094  0.388  0.226 x8
Rh  0.132  0.180  0.323 x8

# 5
Diffraction record for DySi3Rh3. The PXRD pattern is calculated, not measured: it uses a PBE-relaxed structure and a wavelength of 1.5418 Å.
Lines closer than 0.1° are merged.

Largest 10 diffraction maxima, sorted by position, 2θ from 15° to 90°:
hkl 1 1 1, 30.49°, rel. 46
hkl 2 0 1, 32.93°, rel. 100
hkl 3 0 0, 37.03°, rel. 62
hkl 1 2 1, 39.46°, rel. 47
hkl 0 0 2, 44.29°, rel. 27
hkl 3 1 0, 44.87°, rel. 19
hkl 3 1 1, 50.38°, rel. 15
hkl 3 0 2, 59.06°, rel. 31
hkl 2 3 1, 59.78°, rel. 37
hkl 5 0 1, 68.36°, rel. 21

Crystal structure
Unit cell a=8.4108 b=8.4108 c=4.0899 alpha=90.00 beta=90.00 gamma=120.00
Space group P6_3/m (No. 176)
One atom of each set of equivalent atoms:
Dy  0.3333  0.6667  0.2500 x2
Si  0.0551  0.6247  0.7500 x6
Rh  0.0661  0.3442  0.7500 x6

# 6
Diffraction record for SmDy2Rh3. The PXRD pattern is calculated, not measured: it uses a PBE-relaxed structure and a wavelength of 1.5418 Å.
Lines closer than 0.1° are merged.

Largest 10 diffraction maxima, sorted by position, 2θ from 15° to 90°:
hkl 0 0 3, 25.82°, rel. 5
hkl 1 1 0, 36.84°, rel. 100
hkl 0 0 6, 52.94°, rel. 6
hkl 2 0 0, 53.15°, rel. 12
hkl 1 1 6, 66.26°, rel. 12
hkl 2 1 3, 66.40°, rel. 23
hkl 2 0 6, 78.32°, rel. 7
hkl 2 2 0, 78.49°, rel. 4
hkl 1 0 9, 89.66°, rel. 5
hkl 3 0 3, 90.00°, rel. 5

Crystal structure
Unit cell a=3.447 b=3.447 c=10.378 alpha=90.00 beta=90.00 gamma=90.00
Space group P4/mmm (No. 123)
One atom of each set of equivalent atoms:
Sm  0.000  0.000  0.000 x1
Dy  0.000  0.000  0.335 x2
Rh  0.500  0.500  0.173 x2
Rh  0.500  0.500  0.500 x1

# 7
Diffraction record for Sm3DyRh8. The PXRD pattern is calculated, not measured: it uses a PBE-relaxed structure and a wavelength of 1.5418 Å.
Lines closer than 0.1° are merged.

Largest 10 diffraction maxima, sorted by position, 2θ from 15° to 90°:
hkl 1 1 0, 33.34°, rel. 40
hkl 1 1 6, 39.32°, rel. 100
hkl 0 0 12, 41.14°, rel. 29
hkl 2 0 8, 47.87°, rel. 1
hkl 3 0 0, 59.59°, rel. 15
hkl 2 0 14, 63.61°, rel. 32
hkl 2 2 0, 70.03°, rel. 26
hkl 3 1 8, 79.81°, rel. 7
hkl 1 0 22, 83.38°, rel. 11
hkl 2 2 12, 84.57°, rel. 10

Crystal structure
Unit cell a=5.3743 b=5.3743 c=26.3288 alpha=90.00 beta=90.00 gamma=120.00
Space group R3m (No. 160, hexagonal axes)
One atom of each set of equivalent atoms:
Sm  0.0000  0.0000  0.0000 x3
Sm  0.0000  0.0000  0.1254 x3
Sm  0.0000  0.0000  0.5006 x3
Dy  0.0000  0.0000  0.6257 x3
Rh  0.0000  0.0000  0.3128 x3
Rh  0.0000  0.0000  0.8129 x3
Rh  0.0003  0.5001  0.5634 x9
Rh  0.1669  0.3338  0.3957 x9

# 8
Diffraction record for Dy3SnRh3. The PXRD pattern is calculated, not measured: it uses a PBE-relaxed structure and a wavelength of 1.5418 Å.
Lines closer than 0.1° are merged.

Largest 10 diffraction maxima, sorted by position, 2θ from 15° to 90°:
hkl 1 1 2, 25.83°, rel. 15
hkl 1 1 3, 29.98°, rel. 37
hkl 0 2 4, 32.11°, rel. 29
hkl 1 3 0, 33.06°, rel. 73
hkl 1 1 4, 35.04°, rel. 100
hkl 0 4 1, 35.41°, rel. 27
hkl 1 3 3, 39.00°, rel. 89
hkl 0 0 6, 40.88°, rel. 19
hkl 2 0 0, 41.13°, rel. 55
hkl 1 5 4, 56.53°, rel. 16

Crystal structure
Unit cell a=4.389 b=10.331 c=13.246 alpha=90.00 beta=90.00 gamma=90.00
Space group Cmcm (No. 63)
One atom of each set of equivalent atoms:
Dy  0.000  0.022  0.250 x4
Dy  0.000  0.300  0.106 x8
Sn  0.000  0.000  0.000 x4
Rh  0.000  0.246  0.750 x4
Rh  0.000  0.407  0.594 x8

# 9
Diffraction record for DySn6Rh. The PXRD pattern is calculated, not measured: it uses a PBE-relaxed structure and a wavelength of 1.5418 Å.
Lines closer than 0.1° are merged.

Largest 10 diffraction maxima, sorted by position, 2θ from 15° to 90°:
hkl 1 1 -2, 28.86°, rel. 71
hkl 2 0 0, 30.90°, rel. 41
hkl 2 2 -1, 32.77°, rel. 94
hkl 0 4 0, 32.90°, rel. 100
hkl 0 2 2, 34.45°, rel. 55
hkl 2 2 0, 35.12°, rel. 34
hkl 1 3 -2, 37.28°, rel. 82
hkl 2 2 1, 43.32°, rel. 39
hkl 3 1 -2, 45.17°, rel. 41
hkl 1 3 2, 46.94°, rel. 53

Crystal structure
Unit cell a=6.342 b=10.890 c=6.495 alpha=90.00 beta=114.12 gamma=90.00
Space group C2/m (No. 12)
One atom of each set of equivalent atoms:
Dy  0.000  0.000  0.000 x2
Sn  0.048  0.500  0.280 x4
Sn  0.114  0.224  0.748 x8
Rh  0.000  0.000  0.500 x2

# 10
Diffraction record for DySn8Rh2. The PXRD pattern is calculated, not measured: it uses a PBE-relaxed structure and a wavelength of 1.5418 Å.
Lines closer than 0.1° are merged.

Largest 10 diffraction maxima, sorted by position, 2θ from 15° to 90°:
hkl 1 3 -1, 28.65°, rel. 28
hkl 2 0 1, 29.64°, rel. 74
hkl 0 4 1, 33.04°, rel. 100
hkl 2 4 0, 34.97°, rel. 56
hkl 3 1 -1, 35.73°, rel. 64
hkl 1 1 -2, 37.47°, rel. 33
hkl 3 3 0, 38.39°, rel. 61
hkl 1 3 2, 44.79°, rel. 33
hkl 3 7 -1, 61.69°, rel. 35
hkl 2 8 1, 65.23°, rel. 45

Crystal structure
Unit cell a=8.427 b=12.994 c=4.959 alpha=90.00 beta=96.87 gamma=90.00
Space group C2/m (No. 12)
One atom of each set of equivalent atoms:
Dy  0.000  0.000  0.000 x2
Sn  0.000  0.252  0.000 x4
Sn  0.113  0.500  0.793 x4
Sn  0.196  0.136  0.604 x8
Rh  0.000  0.326  0.500 x4

# 11
Diffraction record for DyTaRh. The PXRD pattern is calculated, not measured: it uses a PBE-relaxed structure and a wavelength of 1.5418 Å.
Lines closer than 0.1° are merged.

Largest 10 diffraction maxima, sorted by position, 2θ from 15° to 90°:
hkl 0 0 1, 17.41°, rel. 16
hkl 0 1 1, 27.60°, rel. 36
hkl 1 0 0, 28.06°, rel. 17
hkl 0 0 2, 35.24°, rel. 35
hkl 1 1 1, 39.76°, rel. 100
hkl 0 2 0, 43.27°, rel. 20
hkl 0 2 2, 56.98°, rel. 18
hkl 1 1 3, 66.29°, rel. 22
hkl 1 3 1, 76.99°, rel. 14
hkl 2 2 2, 85.71°, rel. 11

Crystal structure
Unit cell a=3.180 b=4.182 c=5.093 alpha=90.00 beta=90.00 gamma=90.00
Space group Pmmm (No. 47)
One atom of each set of equivalent atoms:
Dy  0.000  0.000  0.000 x1
Ta  0.000  0.500  0.500 x1
Rh  0.500  0.000  0.500 x1

# 12
Diffraction record for Tb3Dy4Rh4. The PXRD pattern is calculated, not measured: it uses a PBE-relaxed structure and a wavelength of 1.5418 Å.
Lines closer than 0.1° are merged.

Largest 10 diffraction maxima, sorted by position, 2θ from 15° to 90°:
hkl 0 1 5, 29.92°, rel. 24
hkl 1 2 1, 31.74°, rel. 100
hkl 1 1 4, 34.41°, rel. 79
hkl 0 3 3, 34.80°, rel. 57
hkl 1 0 5, 37.09°, rel. 21
hkl 0 2 6, 39.70°, rel. 34
hkl 1 3 2, 40.48°, rel. 24
hkl 2 0 0, 48.46°, rel. 27
hkl 2 3 3, 61.03°, rel. 23
hkl 1 5 4, 62.51°, rel. 27

Crystal structure
Unit cell a=3.757 b=8.859 c=15.863 alpha=90.00 beta=90.00 gamma=90.00
Space group Immm (No. 71)
One atom of each set of equivalent atoms:
Tb  0.000  0.000  0.000 x2
Tb  0.000  0.500  0.103 x4
Dy  0.000  0.313  0.335 x8
Rh  0.000  0.000  0.250 x4
Rh  0.000  0.211  0.500 x4

# 13
Diffraction record for Dy8Tc2Rh. The PXRD pattern is calculated, not measured: it uses a PBE-relaxed structure and a wavelength of 1.5418 Å.
Lines closer than 0.1° are merged.

Largest 10 diffraction maxima, sorted by position, 2θ from 15° to 90°:
hkl 2 2 0, 26.65°, rel. 21
hkl 1 3 1, 31.30°, rel. 46
hkl 1 1 -2, 31.84°, rel. 56
hkl 2 0 1, 32.60°, rel. 100
hkl 3 1 -1, 33.16°, rel. 70
hkl 0 2 2, 36.16°, rel. 18
hkl 2 4 0, 36.27°, rel. 34
hkl 1 5 -1, 38.93°, rel. 49
hkl 3 3 0, 40.50°, rel. 19
hkl 2 4 2, 55.71°, rel. 18

Crystal structure
Unit cell a=8.377 b=12.786 c=5.763 alpha=90.00 beta=110.66 gamma=90.00
Space group Cm (No. 8)
One atom of each set of equivalent atoms:
Dy  0.000  0.000  0.000 x2
Dy  0.071  0.370  0.797 x4
Dy  0.155  0.130  0.595 x4
Dy  0.225  0.500  0.390 x2
Dy  0.364  0.211  0.196 x4
Tc  0.362  0.308  0.694 x4
Rh  0.363  0.000  0.190 x2